Calculated X-ray diffraction stick pattern
Compound: Al4ZnPd2
Radiation: Cu Ka
Structure: a crystal structure in Alexandria, relaxed with GGA-PBE

Structure:
```
Al4ZnPd2
1.0
4.088 0.000 0.000
0.000 4.088 0.000
0.000 0.000 6.670
Al Zn Pd
4 1 2
direct
0.000 0.500 0.229
0.000 0.500 0.771
0.500 0.000 0.229
0.500 0.000 0.771
0.000 0.000 0.500
0.000 0.000 0.000
0.500 0.500 0.500
```

Most intense lines, 10 to 80 degrees two-theta, low angle first:
- 3.486 Å, I = 51, (1 0 1)
- 3.335 Å, I = 18, (0 0 2)
- 2.891 Å, I = 23, (1 1 0)
- 2.184 Å, I = 100, (1 1 2)
- 2.044 Å, I = 42, (2 0 0)
- 1.953 Å, I = 11, (1 0 3)
- 1.763 Å, I = 14, (2 1 1)
- 1.743 Å, I = 11, (2 0 2)
- 1.667 Å, I = 10, (0 0 4)
- 1.445 Å, I = 20, (2 2 0)
- 1.292 Å, I = 20, (2 0 4)
- 1.205 Å, I = 28, (3 1 2)